(1)
This entry pairs a crystal structure of Ag3SBr with its calculated powder X-ray diffraction pattern. Radiation: Cu Kα (weighted mean of Kα1 and Kα2). Structure: the GGA-PBE geometry in the Materials Project.
Lines closer than 0.1° are merged.

Most intense lines, 10° ≤ 2θ ≤ 80°, by angle:
(hkl)	d [Å]	I_rel
1 1 3	2.981	267
1 3 1	2.955	264
2 2 2	2.823	1000
0 4 0	2.453	216
4 0 0	2.401	358
2 2 4	2.011	194

Crystal structure
Unit cell a=9.602 b=9.811 c=9.928 alpha=90.00 beta=90.00 gamma=90.00
Space group Fmm2 (No. 42)
Unique sites:
Ag: 0.000 0.000 0.000 (multiplicity 4)
Ag: 0.000 0.000 0.382 (multiplicity 4)
Ag: 0.000 0.188 0.694 (multiplicity 8)
Ag: 0.250 0.250 0.009 (multiplicity 8)
S: 0.000 0.250 0.441 (multiplicity 8)
Br: 0.250 0.000 0.199 (multiplicity 8)



(2)
This entry pairs a crystal structure of Na3CaAl3Si3CO15 with its calculated powder X-ray diffraction pattern. Radiation: Cu Kα (weighted mean of Kα1 and Kα2). Structure: the GGA-PBE geometry in the Materials Project.
Lines closer than 0.1° are merged.

Most intense lines, 10° ≤ 2θ ≤ 80°, by angle:
(hkl)	d [Å]	I_rel
1 1 0	6.277	390
1 2 0	4.109	1000
3 0 0	3.624	589
0 0 2	2.870	308
2 1 2	2.353	340
4 0 2	1.973	207

Crystal structure
Unit cell a=12.5540 b=12.5540 c=5.7391 alpha=90.00 beta=90.00 gamma=120.00
Space group P6_3 (No. 173)
Unique sites:
Na: 0.0300 0.5180 0.0000 (multiplicity 6)
Ca: 0.3333 0.6667 0.4716 (multiplicity 2)
Al: 0.0040 0.7410 0.0274 (multiplicity 6)
Si: 0.0034 0.7339 0.5279 (multiplicity 6)
C: 0.3333 0.6667 0.0848 (multiplicity 2)
O: 0.0001 0.3467 0.7873 (multiplicity 6)
O: 0.0094 0.6578 0.7664 (multiplicity 6)
O: 0.1170 0.2531 0.0338 (multiplicity 6)
O: 0.1302 0.8632 0.5233 (multiplicity 6)
O: 0.2171 0.5907 0.1117 (multiplicity 6)